No. 1
Diffraction record for Li3MnVP3O12. The PXRD pattern is simulated, not measured: it uses a DFT-relaxed cell (GGA+U, the Materials Project) and Cu Kα X-rays.

Most intense lines, 10° ≤ 2θ ≤ 90°, low angle first:
2θ 13.90, d = 6.373 Å, I 68.6, hkl 0 0 1
2θ 20.18, d = 4.401 Å, I 54.9, hkl 1 -1 1
2θ 20.43, d = 4.346 Å, I 63.2, hkl 1 1 2
2θ 20.72, d = 4.287 Å, I 59.0, hkl 2 0 1
2θ 23.06, d = 3.856 Å, I 49.1, hkl 0 1 -1
2θ 23.89, d = 3.725 Å, I 55.0, hkl 2 1 1
2θ 24.17, d = 3.682 Å, I 100.0, hkl 2 -1 0
2θ 28.00, d = 3.186 Å, I 42.5, hkl 0 0 2

Structure:
Cell: 8.577 8.694 8.701 Å, 60.95 61.17 89.43°
Space group P1 (No. 1)
Asymmetric unit:
Li: 0.000 0.000 0.000 x1
Li: 0.033 0.111 0.356 x1
Li: 0.458 0.388 0.757 x1
Li: 0.493 0.841 0.003 x1
Li: 0.534 0.366 0.356 x1
Li: 0.956 0.691 0.761 x1
Mn: 0.640 0.878 0.582 x1
Mn: 0.916 0.578 0.175 x1
V: 0.137 0.373 0.586 x1
V: 0.423 0.093 0.167 x1
P: 0.034 0.782 0.370 x1
P: 0.238 0.980 0.652 x1
P: 0.315 0.483 0.102 x1
P: 0.535 0.686 0.375 x1
P: 0.730 0.199 0.655 x1
P: 0.825 0.263 0.094 x1
O: 0.081 0.802 0.844 x1
O: 0.086 0.620 0.498 x1
O: 0.111 0.468 0.163 x1
O: 0.194 0.964 0.205 x1
O: 0.203 0.134 0.697 x1
O: 0.228 0.025 0.461 x1
O: 0.324 0.429 0.296 x1
O: 0.361 0.337 0.044 x1
O: 0.382 0.496 0.539 x1
O: 0.435 0.977 0.603 x1
O: 0.452 0.674 0.924 x1
O: 0.477 0.842 0.248 x1
O: 0.572 0.181 0.859 x1
O: 0.587 0.717 0.507 x1
O: 0.622 0.211 0.159 x1
O: 0.697 0.001 0.698 x1
O: 0.701 0.669 0.201 x1
O: 0.706 0.341 0.478 x1
O: 0.847 0.125 0.274 x1
O: 0.861 0.463 0.043 x1
O: 0.875 0.807 0.542 x1
O: 0.926 0.252 0.604 x1
O: 0.966 0.260 0.900 x1
O: 0.974 0.753 0.242 x1

***

No. 2
Diffraction record for Li2MnVP4O14. The PXRD pattern is simulated, not measured: it uses a DFT-relaxed cell (GGA+U, the Materials Project) and Cu Kα X-rays.

Most intense lines, 10° ≤ 2θ ≤ 90°, low angle first:
2θ 17.05, d = 5.202 Å, I 100.0, hkl 0 1 -2
2θ 22.12, d = 4.018 Å, I 20.2, hkl 1 0 -2
2θ 22.38, d = 3.972 Å, I 44.2, hkl 1 -1 2
2θ 25.26, d = 3.526 Å, I 18.9, hkl 0 1 4
2θ 26.88, d = 3.317 Å, I 21.6, hkl 1 1 0
2θ 28.99, d = 3.080 Å, I 28.8, hkl 1 1 -2
2θ 29.19, d = 3.059 Å, I 56.7, hkl 1 -1 4
2θ 29.59, d = 3.019 Å, I 27.4, hkl 1 -2 2

Structure:
Cell: 4.850 7.048 16.610 Å, 90.03 90.08 108.78°
Space group P1 (No. 1)
Asymmetric unit:
Li: 0.000 0.000 0.000 x1
Li: 0.002 0.002 0.500 x1
Li: 0.648 0.651 0.250 x1
Li: 0.652 0.651 0.750 x1
Mn: 0.040 0.054 0.681 x1
Mn: 0.612 0.595 0.932 x1
V: 0.039 0.055 0.181 x1
V: 0.609 0.599 0.431 x1
P: 0.036 0.412 0.538 x1
P: 0.039 0.414 0.038 x1
P: 0.225 0.849 0.341 x1
P: 0.226 0.842 0.842 x1
P: 0.424 0.804 0.592 x1
P: 0.426 0.808 0.091 x1
P: 0.612 0.240 0.289 x1
P: 0.613 0.236 0.787 x1
O: 0.012 0.810 0.412 x1
O: 0.015 0.808 0.914 x1
O: 0.072 0.832 0.259 x1
O: 0.075 0.820 0.761 x1
O: 0.218 0.932 0.093 x1
O: 0.222 0.933 0.593 x1
O: 0.223 0.410 0.964 x1
O: 0.223 0.412 0.463 x1
O: 0.229 0.573 0.604 x1
O: 0.230 0.575 0.103 x1
O: 0.421 0.080 0.354 x1
O: 0.423 0.076 0.853 x1
O: 0.424 0.237 0.713 x1
O: 0.428 0.243 0.214 x1
O: 0.429 0.722 0.342 x1
O: 0.433 0.716 0.845 x1
O: 0.575 0.821 0.510 x1
O: 0.581 0.830 0.010 x1
O: 0.636 0.844 0.163 x1
O: 0.639 0.844 0.663 x1
O: 0.693 0.441 0.333 x1
O: 0.699 0.437 0.829 x1
O: 0.767 0.472 0.018 x1
O: 0.775 0.479 0.518 x1
O: 0.876 0.178 0.269 x1
O: 0.882 0.176 0.767 x1
O: 0.951 0.211 0.579 x1
O: 0.956 0.214 0.083 x1